For LiV2Zn2Si2O10, a cell relaxed with PBE+U gives the computed XRD peak list in this record (Cu Ka).
Intensities are scaled so that the largest is 100.

Principal peaks in the range 15 to 90 degrees two-theta, by angle:
2theta  I_rel
26.2  27.1
26.5  69.1
29.9  100.0
34.6  58.2
35.3  30.3
37.7  27.9
38.1  19.4
42.8  19.9
56.2  19.9
61.5  22.4

Structural model:
a = 5.174 Å, b = 5.549 Å, c = 7.395 Å
α = 108.72°, β = 104.15°, γ = 101.90°
Sites, in units of the cell vectors:
1 Li 0.000 0.000 0.000
2 V 0.001 0.002 0.498
3 V 0.501 0.502 0.998
4 Zn 0.080 0.490 0.292
5 Zn 0.922 0.514 0.703
6 Si 0.460 0.118 0.266
7 Si 0.543 0.886 0.730
8 O 0.146 0.299 0.765
9 O 0.197 0.763 0.614
10 O 0.322 0.141 0.447
11 O 0.329 0.325 0.173
12 O 0.339 0.827 0.081
13 O 0.663 0.177 0.915
14 O 0.673 0.679 0.823
15 O 0.681 0.863 0.549
16 O 0.806 0.241 0.382
17 O 0.856 0.706 0.230

***

For KFeNiP2O8, a cell relaxed with PBE+U gives the computed XRD peak list in this record (Cu Ka).
Intensities are scaled so that the largest is 100.

Principal peaks in the range 15 to 90 degrees two-theta, by angle:
2theta  I_rel
15.6  40.8
18.8  30.4
19.7  24.6
25.7  60.8
29.0  100.0
30.3  71.9
30.4  53.1
32.2  33.7
35.5  26.7
35.9  37.3

Structural model:
a = 5.168 Å, b = 14.640 Å, c = 9.327 Å
α = 90.00°, β = 104.70°, γ = 90.00°
Sites, in units of the cell vectors:
1 K 0.187 0.176 0.313
2 K 0.187 0.324 0.813
3 K 0.813 0.676 0.187
4 K 0.813 0.824 0.687
5 Fe 0.228 0.629 0.883
6 Fe 0.228 0.871 0.383
7 Fe 0.772 0.129 0.617
8 Fe 0.772 0.371 0.117
9 Ni 0.243 0.045 0.961
10 Ni 0.243 0.455 0.461
11 Ni 0.757 0.545 0.539
12 Ni 0.757 0.955 0.039
13 P 0.257 0.672 0.536
14 P 0.257 0.828 0.036
15 P 0.308 0.006 0.679
16 P 0.308 0.494 0.179
17 P 0.692 0.506 0.821
18 P 0.692 0.994 0.321
19 P 0.743 0.172 0.964
20 P 0.743 0.328 0.464
21 O 0.057 0.047 0.725
22 O 0.057 0.453 0.225
23 O 0.083 0.586 0.468
24 O 0.083 0.914 0.968
25 O 0.117 0.745 0.945
26 O 0.117 0.755 0.445
27 O 0.225 0.581 0.088
28 O 0.225 0.919 0.588
29 O 0.236 0.689 0.697
30 O 0.236 0.811 0.197
31 O 0.412 0.079 0.586
32 O 0.412 0.421 0.086
33 O 0.450 0.165 0.971
34 O 0.450 0.335 0.471
35 O 0.493 0.013 0.171
36 O 0.493 0.487 0.671
37 O 0.507 0.513 0.329
38 O 0.507 0.987 0.829
39 O 0.550 0.665 0.529
40 O 0.550 0.835 0.029
41 O 0.588 0.579 0.914
42 O 0.588 0.921 0.414
43 O 0.764 0.189 0.803
44 O 0.764 0.311 0.303
45 O 0.775 0.081 0.412
46 O 0.775 0.419 0.912
47 O 0.883 0.245 0.555
48 O 0.883 0.255 0.055
49 O 0.917 0.086 0.032
50 O 0.917 0.414 0.532
51 O 0.943 0.547 0.775
52 O 0.943 0.953 0.275

***

For Mg3V6Fe4O24, a cell relaxed with PBE+U gives the computed XRD peak list in this record (Cu Ka).
Intensities are scaled so that the largest is 100.

Principal peaks in the range 15 to 90 degrees two-theta, by angle:
2theta  I_rel
18.8  18.0
23.6  18.8
25.1  20.0
27.0  64.9
27.5  44.3
27.9  77.5
28.6  100.0
28.7  39.2
54.5  26.3
55.2  19.5

Structural model:
a = 6.765 Å, b = 8.196 Å, c = 9.953 Å
α = 105.40°, β = 105.10°, γ = 102.33°
Sites, in units of the cell vectors:
1 Mg 0.000 0.000 0.000
2 Mg 0.279 0.786 0.293
3 Mg 0.721 0.214 0.707
4 V 0.104 0.597 0.833
5 V 0.222 0.159 0.770
6 V 0.404 0.227 0.371
7 V 0.596 0.773 0.629
8 V 0.778 0.841 0.230
9 V 0.896 0.403 0.167
10 Fe 0.042 0.710 0.516
11 Fe 0.380 0.451 0.107
12 Fe 0.620 0.549 0.893
13 Fe 0.958 0.290 0.484
14 O 0.014 0.221 0.667
15 O 0.074 0.556 0.644
16 O 0.124 0.809 0.915
17 O 0.132 0.528 0.152
18 O 0.180 0.941 0.683
19 O 0.213 0.197 0.954
20 O 0.236 0.284 0.467
21 O 0.277 0.012 0.247
22 O 0.333 0.541 0.926
23 O 0.349 0.755 0.497
24 O 0.441 0.364 0.268
25 O 0.472 0.274 0.771
26 O 0.528 0.726 0.229
27 O 0.559 0.636 0.732
28 O 0.651 0.245 0.503
29 O 0.667 0.459 0.074
30 O 0.723 0.988 0.753
31 O 0.764 0.716 0.533
32 O 0.787 0.803 0.046
33 O 0.820 0.059 0.317
34 O 0.868 0.472 0.848
35 O 0.876 0.191 0.085
36 O 0.926 0.444 0.356
37 O 0.986 0.779 0.333

***

For LaCrAsO, a cell relaxed with PBE+U gives the computed XRD peak list in this record (Cu Ka).
Intensities are scaled so that the largest is 100.

Principal peaks in the range 15 to 90 degrees two-theta, by angle:
2theta  I_rel
29.1  100.0
29.8  23.2
31.5  17.7
36.1  19.6
36.9  11.6
42.7  34.3
51.0  27.9
52.5  38.0
62.0  10.8
84.4  13.9

Structural model:
a = 4.234 Å, b = 4.234 Å, c = 8.931 Å
α = 90.00°, β = 90.00°, γ = 90.07°
Sites, in units of the cell vectors:
1 La 0.250 0.750 0.871
2 La 0.750 0.250 0.129
3 Cr 0.250 0.250 0.500
4 Cr 0.750 0.750 0.500
5 As 0.250 0.750 0.329
6 As 0.750 0.250 0.671
7 O 0.250 0.250 0.000
8 O 0.750 0.750 0.000

***

For Li2FeCu2O6, a cell relaxed with PBE+U gives the computed XRD peak list in this record (Cu Ka).
Intensities are scaled so that the largest is 100.

Principal peaks in the range 15 to 90 degrees two-theta, by angle:
2theta  I_rel
18.1  100.0
35.6  27.1
36.1  13.5
37.3  8.9
43.0  42.7
43.6  20.4
47.2  13.4
56.6  10.1
62.3  16.8
63.5  11.4

Structural model:
a = 6.611 Å, b = 6.611 Å, c = 5.969 Å
α = 104.33°, β = 104.33°, γ = 25.92°
Sites, in units of the cell vectors:
1 Li 0.164 0.164 0.319
2 Li 0.836 0.836 0.681
3 Fe 0.500 0.500 0.500
4 Cu 0.164 0.164 0.837
5 Cu 0.836 0.836 0.163
6 O 0.005 0.005 0.721
7 O 0.322 0.322 0.927
8 O 0.336 0.336 0.400
9 O 0.664 0.664 0.600
10 O 0.678 0.678 0.073
11 O 0.995 0.995 0.279

***

Copy entry 3 word for word.
For Mg3V6Fe4O24, a cell relaxed with PBE+U gives the computed XRD peak list in this record (Cu Ka).
Intensities are scaled so that the largest is 100.

Principal peaks in the range 15 to 90 degrees two-theta, by angle:
2theta  I_rel
18.8  18.0
23.6  18.8
25.1  20.0
27.0  64.9
27.5  44.3
27.9  77.5
28.6  100.0
28.7  39.2
54.5  26.3
55.2  19.5

Structural model:
a = 6.765 Å, b = 8.196 Å, c = 9.953 Å
α = 105.40°, β = 105.10°, γ = 102.33°
Sites, in units of the cell vectors:
1 Mg 0.000 0.000 0.000
2 Mg 0.279 0.786 0.293
3 Mg 0.721 0.214 0.707
4 V 0.104 0.597 0.833
5 V 0.222 0.159 0.770
6 V 0.404 0.227 0.371
7 V 0.596 0.773 0.629
8 V 0.778 0.841 0.230
9 V 0.896 0.403 0.167
10 Fe 0.042 0.710 0.516
11 Fe 0.380 0.451 0.107
12 Fe 0.620 0.549 0.893
13 Fe 0.958 0.290 0.484
14 O 0.014 0.221 0.667
15 O 0.074 0.556 0.644
16 O 0.124 0.809 0.915
17 O 0.132 0.528 0.152
18 O 0.180 0.941 0.683
19 O 0.213 0.197 0.954
20 O 0.236 0.284 0.467
21 O 0.277 0.012 0.247
22 O 0.333 0.541 0.926
23 O 0.349 0.755 0.497
24 O 0.441 0.364 0.268
25 O 0.472 0.274 0.771
26 O 0.528 0.726 0.229
27 O 0.559 0.636 0.732
28 O 0.651 0.245 0.503
29 O 0.667 0.459 0.074
30 O 0.723 0.988 0.753
31 O 0.764 0.716 0.533
32 O 0.787 0.803 0.046
33 O 0.820 0.059 0.317
34 O 0.868 0.472 0.848
35 O 0.876 0.191 0.085
36 O 0.926 0.444 0.356
37 O 0.986 0.779 0.333